[1]
LiAlPt: computed powder diffractogram (Cu Kα X-rays), based on a DFT-relaxed cell (GGA-PBE, the Materials Project).
Peak positions follow from Bragg's law for the DFT cell and can differ from measured ones.

Principal peaks in the range 10° ≤ 2θ ≤ 90°, low angle first:
d = 3.601 Å, intensity 100
d = 2.714 Å, intensity 13
d = 2.167 Å, intensity 72
d = 2.079 Å, intensity 37
d = 1.800 Å, intensity 15
d = 1.650 Å, intensity 19
d = 1.500 Å, intensity 23
d = 1.361 Å, intensity 12
d = 1.217 Å, intensity 23
d = 1.136 Å, intensity 11

Crystal structure
```
LiAlPt
1.0
4.158 0.000 0.000
-2.079 3.601 0.000
0.000 0.000 5.427
Li Al Pt
2 2 2
direct
0.333 0.667 0.250
0.667 0.333 0.750
0.333 0.667 0.750
0.667 0.333 0.250
0.000 0.000 0.000
0.000 0.000 0.500
```

---

[2]
PaHgAu2: computed powder diffractogram (Cu Kα X-rays), based on a DFT-relaxed cell (GGA-PBE, the Materials Project).
Peak positions follow from Bragg's law for the DFT cell and can differ from measured ones.

Principal peaks in the range 10° ≤ 2θ ≤ 90°, low angle first:
d = 2.489 Å, intensity 100
d = 1.760 Å, intensity 18
d = 1.437 Å, intensity 37
d = 1.244 Å, intensity 12
d = 1.113 Å, intensity 18

Crystal structure
```
PaHgAu2
1.0
7.039 0.000 0.000
0.000 7.039 0.000
0.000 0.000 7.039
Pa Hg Au
4 4 8
direct
0.000 0.000 0.000
0.000 0.500 0.500
0.500 0.000 0.500
0.500 0.500 0.000
0.000 0.000 0.500
0.000 0.500 0.000
0.500 0.000 0.000
0.500 0.500 0.500
0.250 0.250 0.250
0.250 0.250 0.750
0.250 0.750 0.250
0.250 0.750 0.750
0.750 0.250 0.250
0.750 0.250 0.750
0.750 0.750 0.250
0.750 0.750 0.750
```

---

[3]
La2Ce2O7: computed powder diffractogram (Cu Kα X-rays), based on a DFT-relaxed cell (GGA-PBE, the Materials Project).
Peak positions follow from Bragg's law for the DFT cell and can differ from measured ones.

Principal peaks in the range 10° ≤ 2θ ≤ 90°, low angle first:
d = 3.241 Å, intensity 100
d = 2.807 Å, intensity 33
d = 1.985 Å, intensity 51
d = 1.693 Å, intensity 45
d = 1.621 Å, intensity 10
d = 1.403 Å, intensity 8
d = 1.288 Å, intensity 18
d = 1.255 Å, intensity 14
d = 1.146 Å, intensity 15

Crystal structure
```
La2Ce2O7
1.0
0.000 5.614 5.614
5.614 0.000 5.614
5.614 5.614 0.000
La Ce O
4 4 14
direct
0.000 0.000 0.000
0.000 0.000 0.500
0.000 0.500 0.000
0.500 0.000 0.000
0.000 0.500 0.500
0.500 0.000 0.500
0.500 0.500 0.000
0.500 0.500 0.500
0.125 0.125 0.125
0.156 0.156 0.594
0.156 0.594 0.156
0.156 0.594 0.594
0.406 0.406 0.844
0.406 0.844 0.406
0.406 0.844 0.844
0.594 0.156 0.156
0.594 0.156 0.594
0.594 0.594 0.156
0.844 0.406 0.406
0.844 0.406 0.844
0.844 0.844 0.406
0.875 0.875 0.875
```

---

[4]
ErC3O8: computed powder diffractogram (Cu Kα X-rays), based on a DFT-relaxed cell (GGA-PBE, the Materials Project).
Peak positions follow from Bragg's law for the DFT cell and can differ from measured ones.

Principal peaks in the range 10° ≤ 2θ ≤ 90°, low angle first:
d = 6.343 Å, intensity 34
d = 5.609 Å, intensity 100
d = 5.163 Å, intensity 28
d = 4.769 Å, intensity 16
d = 4.202 Å, intensity 45
d = 3.641 Å, intensity 32
d = 3.141 Å, intensity 14
d = 2.431 Å, intensity 14
d = 2.302 Å, intensity 18
d = 2.185 Å, intensity 16

Crystal structure
```
ErC3O8
1.0
7.232 0.000 0.000
0.000 8.885 0.000
0.000 0.000 12.687
Er C O
4 12 32
direct
0.250 0.029 0.199
0.250 0.971 0.699
0.750 0.471 0.801
0.750 0.529 0.301
0.024 0.652 0.743
0.052 0.788 0.454
0.058 0.276 0.461
0.442 0.724 0.961
0.448 0.212 0.954
0.476 0.348 0.243
0.524 0.848 0.257
0.552 0.712 0.546
0.558 0.224 0.539
0.942 0.776 0.039
0.948 0.288 0.046
0.976 0.152 0.757
0.012 0.859 0.099
0.018 0.194 0.097
0.052 0.531 0.798
0.077 0.038 0.331
0.121 0.874 0.512
0.128 0.206 0.529
0.143 0.173 0.794
0.155 0.746 0.727
0.345 0.254 0.227
0.357 0.827 0.294
0.372 0.794 0.029
0.379 0.126 0.012
0.423 0.962 0.831
0.448 0.469 0.298
0.482 0.806 0.597
0.488 0.141 0.599
0.512 0.641 0.901
0.518 0.306 0.903
0.552 0.969 0.202
0.577 0.462 0.669
0.621 0.626 0.488
0.628 0.294 0.471
0.643 0.327 0.206
0.655 0.754 0.273
0.845 0.246 0.773
0.857 0.673 0.706
0.872 0.706 0.971
0.879 0.374 0.988
0.923 0.538 0.169
0.948 0.031 0.702
0.982 0.694 0.403
0.988 0.359 0.401
```

---

[5]
La6Co13Pb: computed powder diffractogram (Cu Kα X-rays), based on a DFT-relaxed cell (GGA-PBE, the Materials Project).
Peak positions follow from Bragg's law for the DFT cell and can differ from measured ones.

Principal peaks in the range 10° ≤ 2θ ≤ 90°, low angle first:
d = 3.272 Å, intensity 71
d = 3.189 Å, intensity 40
d = 2.845 Å, intensity 54
d = 2.785 Å, intensity 53
d = 2.573 Å, intensity 34
d = 2.557 Å, intensity 100
d = 2.347 Å, intensity 48
d = 2.129 Å, intensity 32
d = 2.090 Å, intensity 53
d = 1.954 Å, intensity 37

Crystal structure
```
La6Co13Pb
1.0
-4.042 4.042 11.528
4.042 -4.042 11.528
4.042 4.042 -11.528
La Co Pb
12 26 2
direct
0.019 0.519 0.178
0.100 0.100 0.000
0.159 0.981 0.500
0.341 0.841 0.822
0.400 0.400 0.000
0.481 0.659 0.500
0.519 0.341 0.500
0.600 0.600 0.000
0.659 0.159 0.178
0.841 0.019 0.500
0.900 0.900 0.000
0.981 0.481 0.822
0.000 0.500 0.500
0.025 0.298 0.500
0.065 0.215 0.280
0.121 0.621 0.854
0.202 0.475 0.500
0.215 0.935 0.150
0.233 0.733 0.854
0.267 0.121 0.500
0.285 0.435 0.720
0.298 0.798 0.274
0.379 0.233 0.500
0.435 0.715 0.150
0.475 0.975 0.274
0.500 0.000 0.500
0.525 0.025 0.726
0.565 0.285 0.850
0.621 0.767 0.500
0.702 0.202 0.726
0.715 0.565 0.280
0.733 0.879 0.500
0.767 0.267 0.146
0.785 0.065 0.850
0.798 0.525 0.500
0.879 0.379 0.146
0.935 0.785 0.720
0.975 0.702 0.500
0.250 0.250 0.000
0.750 0.750 0.000
```